The following is a calculated PXRD pattern of BeZnGe3. It was derived from a structure optimized by DFT (PBE), using a wavelength of 1.5418 Å.
Lines closer than 0.1° are merged.

a = 4.527 Å, b = 4.527 Å, c = 4.527 Å
α = 90.00°, β = 90.00°, γ = 90.00°
Positions (direct):
Be (0.000, 0.000, 0.000)
Zn (0.500, 0.500, 0.500)
Ge (0.000, 0.000, 0.500)
Ge (0.000, 0.500, 0.000)
Ge (0.500, 0.000, 0.000)

Peak list (6 most intense, 10° ≤ 2θ ≤ 90°, by angle)
| Position (°2θ) | I (rel.) |
| --- | --- |
| 34.3 | 100 |
| 39.8 | 54 |
| 57.6 | 35 |
| 68.8 | 38 |
| 72.3 | 12 |
| 85.9 | 6 |